Entry 1:
Sr2Ca2TiMn3O12: simulated XRD peak list (CuKα), based on DFT lattice parameters and positions (GGA+U).
Neutral-atom scattering factors, no anomalous dispersion.

```
Sr2Ca2TiMn3O12
1.0
7.715 0.000 0.000
0.000 7.751 0.000
-0.006 0.000 7.717
Sr Ca Ti Mn O
4 4 2 6 24
direct
0.000 0.000 0.000
0.000 0.500 0.000
0.493 0.000 0.000
0.493 0.500 0.508
0.001 0.000 0.508
0.001 0.500 0.508
0.492 0.000 0.508
0.492 0.500 0.999
0.747 0.250 0.256
0.747 0.750 0.256
0.247 0.250 0.255
0.247 0.250 0.753
0.247 0.750 0.255
0.247 0.750 0.753
0.747 0.250 0.753
0.747 0.750 0.753
0.000 0.250 0.258
0.000 0.750 0.258
0.244 0.247 0.504
0.244 0.753 0.504
0.246 0.500 0.753
0.247 0.000 0.261
0.247 0.000 0.747
0.247 0.500 0.254
0.250 0.253 0.004
0.250 0.747 0.004
0.493 0.250 0.255
0.493 0.750 0.255
0.496 0.250 0.753
0.496 0.750 0.753
0.745 0.252 0.000
0.745 0.748 0.000
0.747 0.000 0.258
0.747 0.000 0.746
0.747 0.500 0.255
0.747 0.500 0.753
0.748 0.248 0.507
0.748 0.752 0.507
0.997 0.250 0.747
0.997 0.750 0.747
```

Most intense lines, 2θ from 15° to 90°, sorted by position:
Position (°2θ)  I/Imax  (hkl)
32.78  100  2 2 0
40.44  12  2 2 2
46.89  15  0 4 0
47.11  30  4 0 0
58.42  12  2 4 2
58.56  24  4 2 2
68.66  16  4 4 0
68.83  8  4 0 4
78.36  10  6 2 0
87.45  8  4 4 4

Entry 2:
BaYCuMoO5: simulated XRD peak list (CuKα), based on DFT lattice parameters and positions (GGA+U).
Neutral-atom scattering factors, no anomalous dispersion.

```
BaYCuMoO5
1.0
4.027 0.000 0.000
0.000 4.027 0.000
0.000 0.000 7.897
Ba Y Cu Mo O
1 1 1 1 5
direct
0.000 0.000 0.000
0.000 0.000 0.448
0.500 0.500 0.275
0.500 0.500 0.691
0.000 0.500 0.288
0.000 0.500 0.648
0.500 0.000 0.288
0.500 0.000 0.648
0.500 0.500 0.949
```

Most intense lines, 2θ from 15° to 90°, sorted by position:
Position (°2θ)  I/Imax  (hkl)
24.82  15  1 0 1
31.42  51  1 1 0
31.74  100  1 0 2
34.06  13  0 0 3
45.03  35  2 0 0
56.14  38  2 1 2
56.74  13  1 1 4
57.64  10  2 0 3
63.25  9  1 0 5
65.58  10  2 2 0